Li5In2Ag2Pb: simulated powder XRD pattern (Cu Kα), based on a crystal structure in Alexandria, relaxed with PBE.

Crystal structure
```
data_Li5In2Ag2Pb
_chemical_formula_sum 'Li10 In4 Ag4 Pb2'
_cell_length_a 10.6162
_cell_length_b 10.6162
_cell_length_c 3.4811
_cell_angle_alpha 90.00
_cell_angle_beta 90.00
_cell_angle_gamma 90.00
_space_group_name_H-M_alt 'P 4/m b m'
_space_group_IT_number 127
_space_group_name_Hall '-P 4 2ab'
loop_
_atom_site_label
_atom_site_type_symbol
_atom_site_fract_x
_atom_site_fract_y
_atom_site_fract_z
Li1 Li 0.0000 0.5000 0.0000
Li2 Li 0.0833 0.1938 0.0000
In1 In 0.1667 0.6667 0.5000
Ag1 Ag 0.1293 0.3707 0.5000
Pb1 Pb 0.0000 0.0000 0.5000
```

Largest 8 diffraction maxima, in order of rising 2θ, 2θ from 10° to 80°:
two_theta  intensity  index
23.70  24  2 2 0
25.59  61  0 0 1
26.55  100  3 1 0
35.16  19  2 2 1
37.21  93  3 1 1
37.90  18  4 2 0
58.50  18  6 0 1
59.86  20  3 1 2